Theoretical X-ray powder pattern
Compound: Na2MnPCO7
Radiation: Cu Kα (weighted mean of Kα1 and Kα2)
Structure: a GGA+U-relaxed structure
Neutral-atom scattering factors, no anomalous dispersion.

The 10 most intense peaks (5° ≤ 2θ ≤ 70°), in order of falling intensity:
- (0 1 0), 8.918 Å, 2θ = 9.92°, I = 100
- (0 0 4), 3.357 Å, 2θ = 26.55°, I = 46
- (0 2 -4), 2.695 Å, 2θ = 33.24°, I = 36
- (2 0 0), 2.588 Å, 2θ = 34.66°, I = 35
- (1 -2 0), 3.418 Å, 2θ = 26.07°, I = 31
- (0 2 4), 2.667 Å, 2θ = 33.60°, I = 21
- (0 1 2), 5.339 Å, 2θ = 16.61°, I = 17
- (0 1 -2), 5.390 Å, 2θ = 16.45°, I = 17
- (0 0 8), 1.679 Å, 2θ = 54.68°, I = 17
- (1 0 -2), 4.099 Å, 2θ = 21.68°, I = 17

Atomic structure:
```
data_Na2MnPCO7
_chemical_formula_sum 'Na8 Mn4 P4 C4 O28'
_space_group_name_H-M_alt 'P 1'
_space_group_IT_number 1
_space_group_name_Hall 'P 1'
_cell_length_a 5.1772
_cell_length_b 8.9211
_cell_length_c 13.4292
_cell_angle_alpha 90.56
_cell_angle_beta 90.26
_cell_angle_gamma 91.34
loop_
_atom_site_label
_atom_site_fract_x
_atom_site_fract_y
_atom_site_fract_z
_atom_site_occupancy
Na1 0.0000 0.0000 0.0000 1
Na2 0.9999 0.0032 0.2470 1
Na3 0.9998 0.0167 0.5069 1
Na4 0.4749 0.8472 0.6399 1
Na5 0.4878 0.5109 0.4955 1
Na6 0.4902 0.5211 0.2558 1
Na7 0.4910 0.5167 0.9957 1
Na8 0.4927 0.5063 0.7595 1
Mn1 0.0218 0.4069 0.6269 1
Mn2 0.0283 0.4096 0.1254 1
Mn3 0.4528 0.1054 0.8706 1
Mn4 0.4680 0.1157 0.3754 1
P1 0.5340 0.1825 0.1269 1
P2 0.5466 0.1826 0.6239 1
P3 0.9512 0.3413 0.3790 1
P4 0.9537 0.3368 0.8736 1
C1 0.5108 0.8326 0.8780 1
C2 0.5210 0.8340 0.3764 1
C3 0.9661 0.6941 0.6248 1
C4 0.9750 0.6864 0.1260 1
O1 0.0224 0.4367 0.9647 1
O2 0.0226 0.4261 0.7775 1
O3 0.0228 0.4317 0.4753 1
O4 0.0268 0.4347 0.2879 1
O5 0.0789 0.1863 0.3780 1
O6 0.0969 0.1871 0.8777 1
O7 0.1821 0.6156 0.6284 1
O8 0.1956 0.6142 0.1263 1
O9 0.2866 0.8992 0.8752 1
O10 0.3034 0.9111 0.3751 1
O11 0.4006 0.3380 0.1273 1
O12 0.4132 0.3355 0.6249 1
O13 0.4588 0.0887 0.0354 1
O14 0.4660 0.0946 0.2224 1
O15 0.4733 0.0857 0.5300 1
O16 0.4813 0.0849 0.7136 1
O17 0.5153 0.6936 0.3798 1
O18 0.5311 0.6928 0.8761 1
O19 0.6468 0.3135 0.3785 1
O20 0.6532 0.3034 0.8732 1
O21 0.7052 0.9287 0.8785 1
O22 0.7276 0.9189 0.3755 1
O23 0.7521 0.6155 0.6275 1
O24 0.7750 0.5936 0.1267 1
O25 0.8366 0.2157 0.1270 1
O26 0.8471 0.2150 0.6185 1
O27 0.9645 0.8258 0.1250 1
O28 0.9788 0.8348 0.6191 1
```